Diffraction record for Ba5PbS8. The X-ray diffraction stick pattern is simulated, not measured: it uses the PBE geometry in Alexandria and a wavelength of 1.5418 Å.
Lines closer than 0.1° are merged.

Cell and atoms:
```
Ba5PbS8
1.0
-4.565 4.565 5.094
4.565 -4.565 5.094
4.565 4.565 -5.094
Ba Pb S
5 1 8
Direct
0.000 0.000 0.000 Ba
0.252 0.625 0.125 Ba
0.375 0.500 0.628 Ba
0.500 0.128 0.875 Ba
0.872 0.748 0.372 Ba
0.750 0.250 0.500 Pb
0.114 0.210 0.706 S
0.176 0.752 0.792 S
0.248 0.039 0.424 S
0.504 0.408 0.294 S
0.592 0.886 0.096 S
0.615 0.824 0.576 S
0.790 0.496 0.904 S
0.961 0.385 0.208 S
```

Main lines, most intense first (10° ≤ 2θ ≤ 80°):
| two_theta | I_rel |
| --- | --- |
| 23.47 | 100 |
| 28.03 | 56 |
| 22.23 | 47 |
| 30.98 | 40 |
| 30.66 | 40 |
| 35.75 | 34 |
| 44.64 | 33 |
| 34.35 | 27 |
| 44.37 | 25 |
| 40.56 | 25 |